This entry pairs a crystal structure of BaCu4Sn4 with its calculated powder diffractogram. Radiation: Cu Kα (λ = 1.5418 Å). Structure: a cell relaxed with PBE.
Neutral-atom scattering factors, no anomalous dispersion.

Largest 10 diffraction maxima, low angle first, 5 to 70 degrees two-theta:
2θ (°)	I_rel
13.99	28
19.38	16
27.87	41
31.60	100
35.13	54
40.05	26
40.29	19
45.63	54
54.50	21
62.48	24

Structural model:
Cell lengths 8.954, 8.954, 5.331 Å; angles 90.00, 90.00, 90.00 degrees
Positions (direct):
1 Ba 0.250 0.250 0.250
2 Ba 0.750 0.750 0.750
3 Cu 0.074 0.916 0.144
4 Cu 0.084 0.574 0.644
5 Cu 0.416 0.926 0.644
6 Cu 0.426 0.584 0.144
7 Cu 0.574 0.416 0.856
8 Cu 0.584 0.074 0.356
9 Cu 0.916 0.426 0.356
10 Cu 0.926 0.084 0.856
11 Sn 0.111 0.624 0.145
12 Sn 0.124 0.889 0.645
13 Sn 0.376 0.611 0.645
14 Sn 0.389 0.876 0.145
15 Sn 0.611 0.124 0.855
16 Sn 0.624 0.389 0.355
17 Sn 0.876 0.111 0.355
18 Sn 0.889 0.376 0.855

This entry pairs a crystal structure of BaSr3Cu2 with its calculated powder diffractogram. Radiation: Cu Kα (λ = 1.5418 Å). Structure: a cell relaxed with PBE.
Neutral-atom scattering factors, no anomalous dispersion.

Largest 10 diffraction maxima, low angle first, 5 to 70 degrees two-theta:
2θ (°)	I_rel
11.29	76
25.31	75
26.41	93
26.73	41
28.11	100
28.37	68
35.28	47
40.86	50
45.73	39
46.59	54

Structural model:
Cell lengths 9.767, 9.767, 13.747 Å; angles 123.50, 123.50, 26.14 degrees
Positions (direct):
1 Ba 0.156 0.156 0.250
2 Ba 0.844 0.844 0.750
3 Sr 0.158 0.158 0.758
4 Sr 0.411 0.411 0.058
5 Sr 0.412 0.412 0.553
6 Sr 0.588 0.588 0.447
7 Sr 0.589 0.589 0.942
8 Sr 0.842 0.842 0.242
9 Cu 0.237 0.237 0.034
10 Cu 0.237 0.237 0.533
11 Cu 0.763 0.763 0.467
12 Cu 0.763 0.763 0.966

This entry pairs a crystal structure of BaTaCu with its calculated powder diffractogram. Radiation: Cu Kα (λ = 1.5418 Å). Structure: a cell relaxed with PBE.
Neutral-atom scattering factors, no anomalous dispersion.

Largest 10 diffraction maxima, low angle first, 5 to 70 degrees two-theta:
2θ (°)	I_rel
8.45	100
25.54	15
27.50	22
30.69	13
32.83	11
34.17	26
36.13	22
40.82	11
43.72	10
43.86	10

Structural model:
Cell lengths 4.138, 10.464, 5.651 Å; angles 90.00, 132.88, 90.00 degrees
Positions (direct):
1 Ba 0.000 0.194 0.250
2 Ba 0.000 0.806 0.750
3 Ta 0.500 0.499 0.250
4 Ta 0.500 0.501 0.750
5 Cu 0.000 0.344 0.750
6 Cu 0.000 0.656 0.250